# LiMnPO4
Simulated X-ray diffraction stick pattern, Cu Kα, 1.54184 Å. Input: a PBE+U-relaxed structure.
Lines closer than 0.1° are merged.

Crystal structure
```
LiMnPO4
1.0
2.563 -4.553 0.000
2.563 4.553 0.000
-0.802 0.000 8.124
Li Mn P O
2 2 2 8
direct
0.086 0.914 0.500
0.914 0.086 0.000
0.263 0.651 0.194
0.651 0.263 0.694
0.280 0.593 0.780
0.593 0.280 0.280
0.072 0.640 0.658
0.117 0.514 0.943
0.292 0.317 0.715
0.317 0.292 0.215
0.514 0.117 0.443
0.597 0.881 0.804
0.640 0.072 0.158
0.881 0.597 0.304
```

Largest 10 diffraction maxima, sorted by position, 10° ≤ 2θ ≤ 80°:
d 4.553, rel. 60
d 4.450, rel. 42
d 4.060, rel. 100
d 3.972, rel. 33
d 3.137, rel. 20
d 2.609, rel. 27
d 2.550, rel. 22
d 2.327, rel. 13
d 2.228, rel. 29
d 2.193, rel. 17